# 1
Computed X-ray diffraction stick pattern
Compound: SrCeEuSbO6
Radiation: Cu Kα (weighted mean of Kα1 and Kα2)
Structure: DFT lattice parameters and positions (GGA-PBE)

Largest 10 diffraction maxima, by intensity, 2θ = 10–90°:
2θ (°), intensity, (hkl)
29.6, 100, 1 1 2
29.9, 57, 2 0 0
52.9, 46, 3 1 2
42.8, 27, 2 2 0
52.2, 24, 2 0 4
61.4, 18, 2 2 4
41.8, 17, 0 0 4
85.4, 14, 4 2 4
84.5, 12, 3 1 6
70.5, 11, 4 2 0

Atomic structure:
Unit cell a=5.972 b=5.972 c=8.653 alpha=90.00 beta=90.00 gamma=90.00
Space group P-4n2 (No. 118)
Inequivalent atoms, fractional coordinates:
Sr  0.000  0.500  0.250 (multiplicity 2)
Ce  0.000  0.000  0.500 (multiplicity 2)
Eu  0.000  0.500  0.750 (multiplicity 2)
Sb  0.000  0.000  0.000 (multiplicity 2)
O  0.000  0.000  0.240 (multiplicity 4)
O  0.164  0.308  0.998 (multiplicity 8)

---

# 2
Computed X-ray diffraction stick pattern
Compound: Tb5Br8
Radiation: Cu Kα (weighted mean of Kα1 and Kα2)
Structure: DFT lattice parameters and positions (GGA-PBE)

Largest 10 diffraction maxima, by intensity, 2θ = 10–90°:
2θ (°), intensity, (hkl)
29.6, 100, 3 1 -3
34.8, 56, 5 1 -4
33.5, 54, 5 1 -1
33.2, 53, 3 1 1
12.5, 51, 2 0 -2
11.6, 42, 2 0 0
44.9, 41, 1 1 4
35.4, 34, 6 0 0
35.8, 32, 8 0 -3
46.0, 32, 0 2 0

Atomic structure:
Unit cell a=20.352 b=3.943 c=14.122 alpha=90.00 beta=131.64 gamma=90.00
Space group C2/m (No. 12)
Inequivalent atoms, fractional coordinates:
Tb  0.000  0.000  0.000 (multiplicity 2)
Tb  0.015  0.500  0.377 (multiplicity 4)
Tb  0.141  0.000  0.652 (multiplicity 4)
Br  0.032  0.000  0.230 (multiplicity 4)
Br  0.133  0.500  0.102 (multiplicity 4)
Br  0.173  0.500  0.832 (multiplicity 4)
Br  0.203  0.500  0.574 (multiplicity 4)

---

# 3
Computed X-ray diffraction stick pattern
Compound: YReB4
Radiation: Cu Kα (weighted mean of Kα1 and Kα2)
Structure: DFT lattice parameters and positions (GGA-PBE)

Largest 10 diffraction maxima, by intensity, 2θ = 10–90°:
2θ (°), intensity, (hkl)
24.6, 100, 0 0 1
39.9, 99, 0 4 1
30.9, 80, 0 4 0
45.8, 64, 2 3 1
38.0, 47, 2 3 0
16.7, 43, 1 1 0
42.7, 40, 1 4 1
34.4, 30, 1 4 0
60.3, 24, 0 4 2
50.4, 23, 0 0 2

Atomic structure:
Unit cell a=5.988 b=11.585 c=3.619 alpha=90.00 beta=90.00 gamma=90.00
Space group Pbam (No. 55)
Inequivalent atoms, fractional coordinates:
Y  0.126  0.150  0.000 (multiplicity 4)
Re  0.134  0.413  0.000 (multiplicity 4)
B  0.023  0.692  0.500 (multiplicity 4)
B  0.114  0.547  0.500 (multiplicity 4)
B  0.137  0.969  0.500 (multiplicity 4)
B  0.213  0.815  0.500 (multiplicity 4)

---

# 4
Computed X-ray diffraction stick pattern
Compound: GaSe
Radiation: Cu Kα (weighted mean of Kα1 and Kα2)
Structure: DFT lattice parameters and positions (GGA-PBE)

Largest 10 diffraction maxima, by intensity, 2θ = 10–90°:
2θ (°), intensity, (hkl)
26.2, 100, 1 0 0
45.9, 98, 1 0 7
30.7, 93, 1 0 3
46.2, 84, 1 1 0
20.9, 80, 0 0 4
37.4, 63, 1 0 5
51.3, 42, 1 1 4
33.8, 36, 1 0 4
85.5, 32, 2 1 7
67.2, 30, 2 0 7

Atomic structure:
Unit cell a=3.9269 b=3.9269 c=16.9846 alpha=90.00 beta=90.00 gamma=120.00
Space group P6_3/mmc (No. 194)
Inequivalent atoms, fractional coordinates:
Ga  0.3333  0.6667  0.0945 (multiplicity 4)
Se  0.3333  0.6667  0.6681 (multiplicity 4)

---

# 5
Computed X-ray diffraction stick pattern
Compound: BaSi2O5
Radiation: Cu Kα (weighted mean of Kα1 and Kα2)
Structure: DFT lattice parameters and positions (GGA-PBE)

Largest 10 diffraction maxima, by intensity, 2θ = 10–90°:
2θ (°), intensity, (hkl)
22.1, 100, 0 1 1
26.3, 64, 2 2 0
28.4, 52, 4 1 0
25.6, 44, 2 1 1
41.8, 42, 2 3 1
32.6, 39, 2 2 1
39.9, 28, 4 2 1
32.3, 24, 4 0 1
17.2, 21, 2 1 0
27.2, 18, 3 0 1

Atomic structure:
Unit cell a=13.724 b=7.792 c=4.708 alpha=90.00 beta=90.00 gamma=90.00
Space group Pnma (No. 62)
Inequivalent atoms, fractional coordinates:
Ba  0.044  0.250  0.216 (multiplicity 4)
Si  0.184  0.548  0.645 (multiplicity 8)
O  0.087  0.038  0.764 (multiplicity 8)
O  0.162  0.750  0.558 (multiplicity 4)
O  0.219  0.051  0.351 (multiplicity 8)

---

# 6
Computed X-ray diffraction stick pattern
Compound: Ca2HN
Radiation: Cu Kα (weighted mean of Kα1 and Kα2)
Structure: DFT lattice parameters and positions (GGA-PBE)

Largest 10 diffraction maxima, by intensity, 2θ = 10–90°:
2θ (°), intensity, (hkl)
35.5, 100, 4 0 0
30.6, 97, 2 2 2
51.1, 57, 4 4 0
15.2, 35, 1 1 1
60.7, 31, 6 2 2
46.6, 17, 5 1 1
63.7, 16, 4 4 4
85.9, 16, 8 4 0
83.2, 9, 6 6 2
65.9, 9, 5 5 1

Atomic structure:
Unit cell a=10.119 b=10.119 c=10.119 alpha=90.00 beta=90.00 gamma=90.00
Space group Fd-3m (No. 227, origin choice 2)
Inequivalent atoms, fractional coordinates:
Ca  0.012  0.012  0.238 (multiplicity 32)
H  0.000  0.000  0.500 (multiplicity 16)
N  0.000  0.000  0.000 (multiplicity 16)

---

# 7
Computed X-ray diffraction stick pattern
Compound: Na2PtO3
Radiation: Cu Kα (weighted mean of Kα1 and Kα2)
Structure: DFT lattice parameters and positions (GGA-PBE)

Largest 10 diffraction maxima, by intensity, 2θ = 10–90°:
2θ (°), intensity, (hkl)
16.6, 100, 0 0 2
34.3, 58, 2 0 -2
39.6, 57, 1 3 -3
32.9, 46, 2 0 0
57.8, 28, 0 6 0
39.7, 28, 2 0 2
18.8, 26, 1 1 0
20.3, 22, 0 2 1
33.6, 22, 0 0 4
56.8, 18, 1 3 5

Atomic structure:
Unit cell a=5.524 b=9.571 c=10.847 alpha=90.00 beta=100.02 gamma=90.00
Space group C2/c (No. 15)
Inequivalent atoms, fractional coordinates:
Na  0.000  0.083  0.250 (multiplicity 4)
Na  0.240  0.080  0.999 (multiplicity 8)
Na  0.250  0.250  0.500 (multiplicity 4)
Pt  0.000  0.250  0.750 (multiplicity 4)
Pt  0.000  0.417  0.250 (multiplicity 4)
O  0.102  0.417  0.646 (multiplicity 8)
O  0.145  0.097  0.646 (multiplicity 8)
O  0.145  0.264  0.146 (multiplicity 8)

---

# 8
Computed X-ray diffraction stick pattern
Compound: YMg3
Radiation: Cu Kα (weighted mean of Kα1 and Kα2)
Structure: DFT lattice parameters and positions (GGA-PBE)

Largest 10 diffraction maxima, by intensity, 2θ = 10–90°:
2θ (°), intensity, (hkl)
35.4, 100, 1 0 2
31.2, 32, 1 0 0
32.8, 26, 0 0 4
32.3, 25, 1 0 1
16.2, 22, 0 0 2
45.9, 22, 1 0 4
60.2, 20, 1 0 6
66.0, 19, 1 1 4
55.6, 17, 1 1 0
67.6, 14, 2 0 2

Atomic structure:
Unit cell a=3.3080 b=3.3080 c=10.9323 alpha=90.00 beta=90.00 gamma=120.00
Space group P-6m2 (No. 187)
Inequivalent atoms, fractional coordinates:
Y  0.0000  0.0000  0.0000 (multiplicity 1)
Mg  0.0000  0.0000  0.5000 (multiplicity 1)
Mg  0.6667  0.3333  0.2579 (multiplicity 2)

---

# 9
Computed X-ray diffraction stick pattern
Compound: Nb2Bi2PbO9
Radiation: Cu Kα (weighted mean of Kα1 and Kα2)
Structure: DFT lattice parameters and positions (GGA-PBE)

Largest 10 diffraction maxima, by intensity, 2θ = 10–90°:
2θ (°), intensity, (hkl)
28.3, 100, 5 1 1
31.6, 17, 0 2 0
31.4, 17, 0 0 2
45.2, 16, 0 2 2
54.0, 15, 5 1 3
54.3, 14, 5 3 1
35.4, 14, 10 0 0
14.0, 13, 4 0 0
48.2, 11, 10 2 0
48.0, 11, 10 0 2

Atomic structure:
Unit cell a=25.368 b=5.658 c=5.700 alpha=90.00 beta=90.00 gamma=90.00
Space group Cmc2_1 (No. 36)
Inequivalent atoms, fractional coordinates:
Nb  0.085  0.249  0.000 (multiplicity 8)
Bi  0.201  0.285  0.421 (multiplicity 8)
Pb  0.000  0.246  0.477 (multiplicity 4)
O  0.000  0.201  0.048 (multiplicity 4)
O  0.070  0.476  0.760 (multiplicity 8)
O  0.088  0.031  0.311 (multiplicity 8)
O  0.158  0.321  0.040 (multiplicity 8)
O  0.248  0.018  0.211 (multiplicity 8)

---

# 10
Computed X-ray diffraction stick pattern
Compound: SrRuO3
Radiation: Cu Kα (weighted mean of Kα1 and Kα2)
Structure: DFT lattice parameters and positions (GGA-PBE)

Largest 10 diffraction maxima, by intensity, 2θ = 10–90°:
2θ (°), intensity, (hkl)
31.9, 100, 1 2 1
45.4, 32, 2 0 2
32.0, 24, 2 0 0
31.3, 24, 0 0 2
56.1, 22, 1 2 3
57.0, 19, 3 2 1
66.6, 17, 2 4 2
46.0, 14, 0 4 0
57.1, 11, 2 4 0
56.7, 10, 0 4 2

Atomic structure:
Unit cell a=5.587 b=7.894 c=5.712 alpha=90.00 beta=90.00 gamma=90.00
Space group Imma (No. 74)
Inequivalent atoms, fractional coordinates:
Sr  0.000  0.250  0.005 (multiplicity 4)
Ru  0.000  0.000  0.500 (multiplicity 4)
O  0.000  0.250  0.572 (multiplicity 4)
O  0.250  0.040  0.250 (multiplicity 8)

---

# 11
Computed X-ray diffraction stick pattern
Compound: Tm2CN2O2
Radiation: Cu Kα (weighted mean of Kα1 and Kα2)
Structure: DFT lattice parameters and positions (GGA-PBE)

Largest 10 diffraction maxima, by intensity, 2θ = 10–90°:
2θ (°), intensity, (hkl)
30.2, 100, 0 1 1
10.9, 54, 0 0 1
35.9, 46, 1 0 2
49.8, 28, 1 1 0
53.5, 25, 0 1 4
61.0, 21, 1 1 3
43.9, 20, 0 1 3
33.0, 20, 0 0 3
21.9, 18, 0 0 2
28.1, 17, 1 0 0

Atomic structure:
Unit cell a=3.6641 b=3.6641 c=8.1348 alpha=90.00 beta=90.00 gamma=120.00
Space group P-3m1 (No. 164)
Inequivalent atoms, fractional coordinates:
Tm  0.3333  0.6667  0.3242 (multiplicity 2)
C  0.0000  0.0000  0.0000 (multiplicity 1)
N  0.0000  0.0000  0.1519 (multiplicity 2)
O  0.3333  0.6667  0.6026 (multiplicity 2)